Entry 1:
This entry pairs a crystal structure of AcTmAs2O8 with its theoretical powder diffractogram. Radiation: copper Kα. Structure: the GGA-PBE geometry in Alexandria.
Peak positions follow from Bragg's law for the DFT cell and can differ from measured ones.

Structure:
```
data_AcTmAs2O8
_cell_length_a 5.1720
_cell_length_b 5.1720
_cell_length_c 11.8127
_cell_angle_alpha 90.00
_cell_angle_beta 90.00
_cell_angle_gamma 90.00
_space_group_name_H-M_alt 'I -4'
_space_group_IT_number 82
loop_
_space_group_symop_operation_xyz
'x,y,z'
'y,-x,-z'
'-x,-y,z'
'-y,x,-z'
'x+1/2,y+1/2,z+1/2'
'y+1/2,-x+1/2,-z+1/2'
'-x+1/2,-y+1/2,z+1/2'
'-y+1/2,x+1/2,-z+1/2'
loop_
_atom_site_label
_atom_site_fract_x
_atom_site_fract_y
_atom_site_fract_z
Ac1 0.0000 0.0000 0.0000
Tm1 0.0000 0.5000 0.7500
As1 0.0000 0.0000 0.5000
As2 0.0000 0.5000 0.2500
O1 0.1220 0.2504 0.5811
O2 0.1540 0.7483 0.1786
```

Main lines, sorted by position (2θ from 5° to 70°):
index, 2θ (°), intensity
1 0 1, 18.73, 21.3
1 1 2, 28.71, 100.0
0 0 4, 30.26, 18.2
2 0 0, 34.69, 22.4
2 1 1, 39.71, 10.6
2 0 4, 46.69, 28.9
2 2 0, 49.87, 11.8
1 1 6, 52.81, 18.6
1 3 2, 58.56, 27.4
2 2 4, 59.45, 12.9

=====

Entry 2:
This entry pairs a crystal structure of Ac2YAsO6 with its theoretical powder diffractogram. Radiation: copper Kα. Structure: the GGA-PBE geometry in Alexandria.
Peak positions follow from Bragg's law for the DFT cell and can differ from measured ones.

Structure:
```
data_Ac2YAsO6
_cell_length_a 10.4490
_cell_length_b 5.9849
_cell_length_c 6.0412
_cell_angle_alpha 90.00
_cell_angle_beta 124.44
_cell_angle_gamma 90.00
_space_group_name_H-M_alt 'C 1 2/m 1'
_space_group_IT_number 12
loop_
_space_group_symop_operation_xyz
'x,y,z'
'-x,-y,-z'
'-x,y,-z'
'x,-y,z'
'x+1/2,y+1/2,z'
'-x+1/2,-y+1/2,-z'
'-x+1/2,y+1/2,-z'
'x+1/2,-y+1/2,z'
loop_
_atom_site_label
_atom_site_fract_x
_atom_site_fract_y
_atom_site_fract_z
Ac1 0.2485 0.0000 0.2272
Y1 0.0000 0.0000 0.5000
As1 0.0000 0.5000 0.0000
O1 0.0677 0.2540 0.8225
O2 0.2458 0.5000 0.3591
```

Main lines, sorted by position (2θ from 5° to 70°):
index, 2θ (°), intensity
1 1 -1, 20.89, 37.6
1 1 1, 29.35, 100.0
2 0 -2, 29.58, 41.1
3 1 -1, 29.68, 97.9
0 2 0, 29.86, 47.3
2 2 0, 36.57, 28.6
4 0 0, 41.93, 23.0
2 2 -2, 42.53, 48.3
4 2 0, 52.33, 25.3
5 1 -3, 52.72, 41.0

=====

Entry 3:
This entry pairs a crystal structure of AcYAsO5 with its theoretical powder diffractogram. Radiation: copper Kα. Structure: the GGA-PBE geometry in Alexandria.
Peak positions follow from Bragg's law for the DFT cell and can differ from measured ones.

Structure:
```
data_AcYAsO5
_cell_length_a 7.6144
_cell_length_b 9.6483
_cell_length_c 8.1177
_cell_angle_alpha 90.00
_cell_angle_beta 116.63
_cell_angle_gamma 90.00
_space_group_name_H-M_alt 'C 1 2/c 1'
_space_group_IT_number 15
loop_
_space_group_symop_operation_xyz
'x,y,z'
'-x,-y,-z'
'-x,y,-z+1/2'
'x,-y,z+1/2'
'x+1/2,y+1/2,z'
'-x+1/2,-y+1/2,-z'
'-x+1/2,y+1/2,-z+1/2'
'x+1/2,-y+1/2,z+1/2'
loop_
_atom_site_label
_atom_site_fract_x
_atom_site_fract_y
_atom_site_fract_z
Ac1 0.0000 0.1793 0.2500
Y1 0.0000 0.5000 0.0000
As1 0.0000 0.1882 0.7500
O1 0.0000 0.4200 0.2500
O2 0.1133 0.2720 0.5970
O3 0.1739 0.0659 0.9005
```

Main lines, sorted by position (2θ from 5° to 70°):
index, 2θ (°), intensity
1 1 -1, 16.14, 33.8
1 1 -2, 23.88, 48.0
0 0 2, 24.53, 17.1
2 0 0, 26.18, 56.6
2 0 -2, 26.70, 17.4
1 3 0, 30.78, 100.0
2 2 -2, 32.62, 20.6
2 0 -4, 44.86, 15.3
2 2 2, 47.96, 16.6
3 3 0, 49.13, 25.9

=====

Entry 4:
This entry pairs a crystal structure of Ac2ZnAsO6 with its theoretical powder diffractogram. Radiation: copper Kα. Structure: the GGA-PBE geometry in Alexandria.
Peak positions follow from Bragg's law for the DFT cell and can differ from measured ones.

Structure:
```
data_Ac2ZnAsO6
_cell_length_a 5.7388
_cell_length_b 5.7388
_cell_length_c 4.0254
_cell_angle_alpha 90.00
_cell_angle_beta 90.00
_cell_angle_gamma 90.00
_space_group_name_H-M_alt 'P 4/m m m'
_space_group_IT_number 123
_space_group_name_Hall '-P 4 2'
loop_
_atom_site_label
_atom_site_fract_x
_atom_site_fract_y
_atom_site_fract_z
Ac1 0.0000 0.5000 0.0000
Zn1 0.0000 0.0000 0.5000
As1 0.5000 0.5000 0.5000
O1 0.0000 0.0000 0.0000
O2 0.2590 0.2590 0.5000
O3 0.5000 0.5000 0.0000
```

Main lines, sorted by position (2θ from 5° to 70°):
index, 2θ (°), intensity
1 1 0, 21.90, 24.5
2 0 0, 31.17, 50.6
1 1 1, 31.30, 100.0
2 0 1, 38.53, 28.2
2 2 0, 44.66, 28.6
0 0 2, 45.04, 14.0
3 1 0, 50.32, 12.7
3 1 1, 55.55, 41.2
2 0 2, 55.79, 20.4
2 2 2, 65.30, 17.7

=====

Entry 5:
This entry pairs a crystal structure of AcAs12Os4 with its theoretical powder diffractogram. Radiation: copper Kα. Structure: the GGA-PBE geometry in Alexandria.
Peak positions follow from Bragg's law for the DFT cell and can differ from measured ones.

Structure:
```
data_AcAs12Os4
_cell_length_a 8.6592
_cell_length_b 8.6592
_cell_length_c 8.6592
_cell_angle_alpha 90.00
_cell_angle_beta 90.00
_cell_angle_gamma 90.00
_space_group_name_H-M_alt 'I m -3'
_space_group_IT_number 204
_space_group_name_Hall '-I 2 2 3'
loop_
_atom_site_label
_atom_site_fract_x
_atom_site_fract_y
_atom_site_fract_z
Ac1 0.0000 0.0000 0.0000
As1 0.0000 0.3496 0.1508
Os1 0.2500 0.2500 0.2500
```

Main lines, sorted by position (2θ from 5° to 70°):
index, 2θ (°), intensity
2 0 0, 20.51, 31.1
2 2 0, 29.17, 100.0
3 0 1, 32.70, 89.8
2 2 2, 35.93, 11.3
3 1 2, 38.92, 51.9
4 0 0, 41.72, 18.5
4 0 2, 46.92, 53.8
4 2 2, 51.72, 86.7
4 3 1, 54.00, 38.2
6 2 0, 68.54, 30.8

=====

Entry 6:
This entry pairs a crystal structure of Ac2As3PPd4 with its theoretical powder diffractogram. Radiation: copper Kα. Structure: the GGA-PBE geometry in Alexandria.
Peak positions follow from Bragg's law for the DFT cell and can differ from measured ones.

Structure:
```
data_Ac2As3PPd4
_cell_length_a 4.5263
_cell_length_b 4.5263
_cell_length_c 9.9622
_cell_angle_alpha 90.00
_cell_angle_beta 90.00
_cell_angle_gamma 90.00
_space_group_name_H-M_alt 'P -4 m 2'
_space_group_IT_number 115
loop_
_space_group_symop_operation_xyz
'x,y,z'
'y,-x,-z'
'-x,-y,z'
'-y,x,-z'
'-x,y,z'
'-y,-x,-z'
'x,-y,z'
'y,x,-z'
loop_
_atom_site_label
_atom_site_fract_x
_atom_site_fract_y
_atom_site_fract_z
Ac1 0.0000 0.5000 0.2471
As1 0.0000 0.0000 0.0000
As2 0.0000 0.5000 0.6326
P1 0.5000 0.5000 0.0000
Pd1 0.0000 0.0000 0.5000
Pd2 0.0000 0.5000 0.8903
Pd3 0.5000 0.5000 0.5000
```

Main lines, sorted by position (2θ from 5° to 70°):
index, 2θ (°), intensity
1 1 0, 27.88, 34.0
1 1 2, 33.27, 100.0
1 0 3, 33.47, 94.8
2 0 0, 39.83, 72.4
1 0 5, 50.02, 24.0
2 1 3, 52.98, 52.1
2 2 0, 57.60, 24.6
1 1 6, 63.08, 20.4
2 1 5, 65.76, 21.2
3 1 2, 68.17, 25.3

=====

Entry 7:
This entry pairs a crystal structure of Ac3AsP2Pt8 with its theoretical powder diffractogram. Radiation: copper Kα. Structure: the GGA-PBE geometry in Alexandria.
Peak positions follow from Bragg's law for the DFT cell and can differ from measured ones.

Structure:
```
data_Ac3AsP2Pt8
_cell_length_a 5.6451
_cell_length_b 5.6451
_cell_length_c 10.3702
_cell_angle_alpha 90.00
_cell_angle_beta 90.00
_cell_angle_gamma 120.00
_space_group_name_H-M_alt 'P -3 m 1'
_space_group_IT_number 164
_space_group_name_Hall '-P 3 2"'
loop_
_atom_site_label
_atom_site_fract_x
_atom_site_fract_y
_atom_site_fract_z
Ac1 0.0000 0.0000 0.0000
Ac2 0.3333 0.6667 0.5873
As1 0.0000 0.0000 0.5000
P1 0.3333 0.6667 0.1170
Pt1 0.1655 0.3310 0.2747
Pt2 0.3333 0.6667 0.9008
```

Main lines, sorted by position (2θ from 5° to 70°):
index, 2θ (°), intensity
1 0 3, 31.70, 100.0
1 1 2, 36.24, 53.2
2 0 0, 36.77, 13.4
0 2 1, 37.81, 89.5
0 1 4, 39.34, 30.0
2 0 2, 40.81, 23.8
2 1 3, 56.47, 41.3
0 2 5, 58.35, 15.5
1 2 4, 61.64, 15.7
2 2 0, 66.22, 43.4

=====

Entry 8:
This entry pairs a crystal structure of AcAsPb with its theoretical powder diffractogram. Radiation: copper Kα. Structure: the GGA-PBE geometry in Alexandria.
Peak positions follow from Bragg's law for the DFT cell and can differ from measured ones.

Structure:
```
data_AcAsPb
_cell_length_a 4.9926
_cell_length_b 4.9926
_cell_length_c 4.3496
_cell_angle_alpha 90.00
_cell_angle_beta 90.00
_cell_angle_gamma 120.00
_space_group_name_H-M_alt 'P 3 m 1'
_space_group_IT_number 156
loop_
_space_group_symop_operation_xyz
'x,y,z'
'-y,x-y,z'
'-x+y,-x,z'
'-y,-x,z'
'-x+y,y,z'
'x,x-y,z'
loop_
_atom_site_label
_atom_site_fract_x
_atom_site_fract_y
_atom_site_fract_z
Ac1 0.0000 0.0000 0.0000
As1 0.3333 0.6667 0.4312
Pb1 0.6667 0.3333 0.5291
```

Main lines, sorted by position (2θ from 5° to 70°):
index, 2θ (°), intensity
1 0 0, 20.54, 14.4
0 1 1, 29.12, 100.0
1 1 0, 35.98, 51.0
0 0 2, 41.52, 9.7
1 0 2, 46.76, 7.5
2 0 1, 46.93, 27.8
1 1 2, 56.09, 24.6
1 2 1, 60.52, 26.4
3 0 0, 64.67, 9.5
0 1 3, 68.22, 9.3

=====

Entry 9:
This entry pairs a crystal structure of AcAs2Pd7Pb2 with its theoretical powder diffractogram. Radiation: copper Kα. Structure: the GGA-PBE geometry in Alexandria.
Peak positions follow from Bragg's law for the DFT cell and can differ from measured ones.

Structure:
```
data_AcAs2Pd7Pb2
_cell_length_a 6.3481
_cell_length_b 7.1147
_cell_length_c 11.6252
_cell_angle_alpha 90.00
_cell_angle_beta 98.16
_cell_angle_gamma 90.00
_space_group_name_H-M_alt 'C 1 2/m 1'
_space_group_IT_number 12
loop_
_space_group_symop_operation_xyz
'x,y,z'
'-x,-y,-z'
'-x,y,-z'
'x,-y,z'
'x+1/2,y+1/2,z'
'-x+1/2,-y+1/2,-z'
'-x+1/2,y+1/2,-z'
'x+1/2,-y+1/2,z'
loop_
_atom_site_label
_atom_site_fract_x
_atom_site_fract_y
_atom_site_fract_z
Ac1 0.0000 0.0000 0.0000
As1 0.1936 0.5000 0.2031
Pd1 0.0000 0.5000 0.0000
Pd2 0.1177 0.5000 0.4045
Pd3 0.1290 0.3018 0.7954
Pb1 0.1447 0.0000 0.3753
```

Main lines, sorted by position (2θ from 5° to 70°):
index, 2θ (°), intensity
0 2 0, 25.03, 46.6
1 1 2, 25.69, 22.7
1 1 -3, 28.39, 37.7
0 2 2, 29.52, 34.7
2 0 -3, 34.23, 42.4
2 0 2, 34.40, 100.0
2 2 -1, 38.19, 76.2
0 0 5, 39.14, 50.3
2 2 2, 43.02, 23.2
2 2 -6, 58.76, 29.8

=====

Entry 10:
This entry pairs a crystal structure of Ac4As2PbSe with its theoretical powder diffractogram. Radiation: copper Kα. Structure: the GGA-PBE geometry in Alexandria.
Peak positions follow from Bragg's law for the DFT cell and can differ from measured ones.

Structure:
```
data_Ac4As2PbSe
_cell_length_a 7.9977
_cell_length_b 4.5632
_cell_length_c 8.0671
_cell_angle_alpha 90.00
_cell_angle_beta 108.99
_cell_angle_gamma 90.00
_space_group_name_H-M_alt 'P 1 2/m 1'
_space_group_IT_number 10
loop_
_space_group_symop_operation_xyz
'x,y,z'
'-x,-y,-z'
'-x,y,-z'
'x,-y,z'
loop_
_atom_site_label
_atom_site_fract_x
_atom_site_fract_y
_atom_site_fract_z
Ac1 0.2405 0.0000 0.2356
Ac2 0.2529 0.5000 0.7622
As1 0.0000 0.5000 0.0000
As2 0.5000 0.0000 0.0000
Pb1 0.5000 0.5000 0.5000
Se1 0.0000 0.0000 0.5000
```

Main lines, sorted by position (2θ from 5° to 70°):
index, 2θ (°), intensity
1 1 -1, 23.78, 10.3
2 0 -2, 27.32, 100.0
2 0 2, 38.60, 13.1
1 1 -3, 38.88, 26.0
3 1 -1, 39.13, 26.2
0 2 0, 39.50, 12.8
2 2 -2, 48.67, 14.2
2 2 2, 56.42, 8.8
3 1 -5, 63.54, 12.1
5 1 -3, 63.90, 12.6

=====

Entry 11:
This entry pairs a crystal structure of AcAsPd4 with its theoretical powder diffractogram. Radiation: copper Kα. Structure: the GGA-PBE geometry in Alexandria.
Peak positions follow from Bragg's law for the DFT cell and can differ from measured ones.

Structure:
```
data_AcAsPd4
_cell_length_a 7.5639
_cell_length_b 4.2131
_cell_length_c 7.3604
_cell_angle_alpha 90.00
_cell_angle_beta 90.00
_cell_angle_gamma 90.00
_space_group_name_H-M_alt 'P m m a'
_space_group_IT_number 51
loop_
_space_group_symop_operation_xyz
'x,y,z'
'-x,-y,-z'
'-x+1/2,-y,z'
'x+1/2,y,-z'
'x+1/2,-y,-z'
'-x+1/2,y,z'
'-x,y,-z'
'x,-y,z'
loop_
_atom_site_label
_atom_site_fract_x
_atom_site_fract_y
_atom_site_fract_z
Ac1 0.2500 0.0000 0.1404
As1 0.2500 0.0000 0.7170
Pd1 0.0000 0.0000 0.5000
Pd2 0.0572 0.5000 0.7922
Pd3 0.2500 0.5000 0.4435
```

Main lines, sorted by position (2θ from 5° to 70°):
index, 2θ (°), intensity
1 1 1, 27.09, 21.3
2 1 0, 31.80, 25.1
2 1 1, 34.11, 100.0
1 1 2, 34.46, 87.0
0 0 3, 36.63, 31.3
3 0 1, 37.71, 26.8
1 0 3, 38.58, 25.0
2 1 2, 40.34, 87.3
0 2 0, 42.93, 49.6
4 0 0, 48.12, 19.7

=====

Entry 12:
This entry pairs a crystal structure of AcAs2Pd8 with its theoretical powder diffractogram. Radiation: copper Kα. Structure: the GGA-PBE geometry in Alexandria.
Peak positions follow from Bragg's law for the DFT cell and can differ from measured ones.

Structure:
```
data_AcAs2Pd8
_cell_length_a 5.6008
_cell_length_b 5.6008
_cell_length_c 7.7184
_cell_angle_alpha 90.00
_cell_angle_beta 90.00
_cell_angle_gamma 90.00
_space_group_name_H-M_alt 'P 4/m m m'
_space_group_IT_number 123
_space_group_name_Hall '-P 4 2'
loop_
_atom_site_label
_atom_site_fract_x
_atom_site_fract_y
_atom_site_fract_z
Ac1 0.0000 0.0000 0.0000
As1 0.0000 0.5000 0.5000
Pd1 0.2531 0.2531 0.3015
```

Main lines, sorted by position (2θ from 5° to 70°):
index, 2θ (°), intensity
0 0 1, 11.46, 22.2
1 0 0, 15.82, 17.4
1 0 1, 19.58, 26.7
1 1 1, 25.28, 40.8
2 0 0, 31.96, 19.5
0 0 3, 34.87, 19.3
2 0 2, 39.77, 100.0
2 2 0, 45.82, 45.0
2 0 3, 48.02, 21.1
2 2 3, 58.85, 16.8

=====

Entry 13:
This entry pairs a crystal structure of Ac2As3Pd9 with its theoretical powder diffractogram. Radiation: copper Kα. Structure: the GGA-PBE geometry in Alexandria.
Peak positions follow from Bragg's law for the DFT cell and can differ from measured ones.

Structure:
```
data_Ac2As3Pd9
_cell_length_a 14.0116
_cell_length_b 7.8874
_cell_length_c 10.5236
_cell_angle_alpha 90.00
_cell_angle_beta 116.46
_cell_angle_gamma 90.00
_space_group_name_H-M_alt 'C 1 2/c 1'
_space_group_IT_number 15
loop_
_space_group_symop_operation_xyz
'x,y,z'
'-x,-y,-z'
'-x,y,-z+1/2'
'x,-y,z+1/2'
'x+1/2,y+1/2,z'
'-x+1/2,-y+1/2,-z'
'-x+1/2,y+1/2,-z+1/2'
'x+1/2,-y+1/2,z+1/2'
loop_
_atom_site_label
_atom_site_fract_x
_atom_site_fract_y
_atom_site_fract_z
Ac1 0.1726 0.0887 0.2463
As1 0.0835 0.2441 0.5000
As2 0.2500 0.2500 0.0000
Pd1 0.0000 0.3683 0.2500
Pd2 0.0565 0.0699 0.9195
Pd3 0.0920 0.4136 0.0190
Pd4 0.1026 0.3199 0.7466
Pd5 0.2306 0.4137 0.4341
```

Main lines, sorted by position (2θ from 5° to 70°):
index, 2θ (°), intensity
3 1 0, 24.08, 16.4
2 2 -3, 34.25, 18.1
3 1 2, 36.31, 100.0
0 2 3, 36.57, 50.6
0 0 4, 38.22, 34.5
6 0 -2, 38.55, 42.3
3 3 -1, 39.33, 80.4
4 2 1, 41.10, 16.0
6 4 1, 69.16, 17.5
3 5 -4, 69.68, 15.9